Entry 1:
The following is a theoretical PXRD pattern of Nd2Er6Pu. It was derived from a structure optimized by DFT (PBE), using Cu Kα (weighted mean of Kα1 and Kα2).
Peak positions follow from Bragg's law for the DFT cell and can differ from measured ones.

Main lines, by intensity (2θ = 15–90°):
2.883 Å, 2θ 31.0, rel. 100, hkl 1 3 2
1.765 Å, 2θ 51.8, rel. 18, hkl 1 1 -5
2.510 Å, 2θ 35.8, rel. 17, hkl 2 2 -1
2.496 Å, 2θ 36.0, rel. 17, hkl -1 3 1
2.485 Å, 2θ 36.1, rel. 17, hkl 1 1 4
1.512 Å, 2θ 61.3, rel. 15, hkl 3 1 -4
1.770 Å, 2θ 51.6, rel. 12, hkl 1 5 0
1.506 Å, 2θ 61.6, rel. 7, hkl 3 -3 0
1.504 Å, 2θ 61.7, rel. 7, hkl 0 6 3
1.502 Å, 2θ 61.8, rel. 7, hkl 1 -1 6

```
data_Nd2Er6Pu
_chemical_formula_sum 'Nd4 Er12 Pu2'
_space_group_name_H-M_alt 'P -1'
_space_group_IT_number 2
_space_group_name_Hall '-P 1'
_cell_length_a 6.1370
_cell_length_b 9.3408
_cell_length_c 10.5481
_cell_angle_alpha 71.93
_cell_angle_beta 84.77
_cell_angle_gamma 77.28
loop_
_atom_site_label
_atom_site_fract_x
_atom_site_fract_y
_atom_site_fract_z
Nd1 0.0257 0.1998 0.4420
Nd2 0.4253 0.9141 0.6739
Er1 0.0830 0.5828 0.3296
Er2 0.1366 0.9723 0.2174
Er3 0.2524 0.7463 0.0012
Er4 0.3055 0.1417 0.8935
Er5 0.3649 0.5256 0.7824
Er6 0.4705 0.3091 0.5578
Pu1 0.1857 0.3641 0.1079
```


Entry 2:
The following is a theoretical PXRD pattern of La2Y6Tm. It was derived from a structure optimized by DFT (PBE), using Cu Kα (weighted mean of Kα1 and Kα2).
Peak positions follow from Bragg's law for the DFT cell and can differ from measured ones.

Main lines, by intensity (2θ = 15–90°):
2.858 Å, 2θ 31.3, rel. 100, hkl 3 3 0
1.650 Å, 2θ 55.7, rel. 29, hkl 6 0 0
2.021 Å, 2θ 44.9, rel. 19, hkl 4 0 2
1.492 Å, 2θ 62.2, rel. 13, hkl 3 3 4
1.278 Å, 2θ 74.2, rel. 9, hkl 7 3 2
1.200 Å, 2θ 79.9, rel. 6, hkl 6 0 4
1.429 Å, 2θ 65.3, rel. 6, hkl 6 6 0
4.952 Å, 2θ 17.9, rel. 5, hkl 2 0 0
1.107 Å, 2θ 88.3, rel. 5, hkl 6 6 4
1.749 Å, 2θ 52.3, rel. 4, hkl 0 0 4

```
data_La2Y6Tm
_chemical_formula_sum 'La8 Y24 Tm4'
_space_group_name_H-M_alt 'I b a m'
_space_group_IT_number 72
_space_group_name_Hall '-I 2 2c'
_cell_length_a 9.8985
_cell_length_b 17.1638
_cell_length_c 6.9953
_cell_angle_alpha 90.00
_cell_angle_beta 90.00
_cell_angle_gamma 90.00
loop_
_atom_site_label
_atom_site_fract_x
_atom_site_fract_y
_atom_site_fract_z
La1 0.0000 0.1667 0.2500
Y1 0.1648 0.3350 0.0000
Y2 0.1647 0.3358 0.5000
Y3 0.1706 0.9996 0.0000
Tm1 0.0000 0.5000 0.2500
```


Entry 3:
The following is a theoretical PXRD pattern of RbCdBiO3. It was derived from a structure optimized by DFT (PBE), using Cu Kα (weighted mean of Kα1 and Kα2).
Peak positions follow from Bragg's law for the DFT cell and can differ from measured ones.

Main lines, by intensity (2θ = 15–90°):
2.828 Å, 2θ 31.6, rel. 100, hkl 0 1 2
2.719 Å, 2θ 32.9, rel. 72, hkl 2 1 0
2.755 Å, 2θ 32.5, rel. 57, hkl 3 0 0
3.222 Å, 2θ 27.7, rel. 54, hkl 2 0 -2
3.070 Å, 2θ 29.1, rel. 49, hkl 1 1 1
1.805 Å, 2θ 50.6, rel. 37, hkl 0 2 0
2.914 Å, 2θ 30.7, rel. 29, hkl 2 0 2
3.310 Å, 2θ 26.9, rel. 27, hkl 1 1 0
4.164 Å, 2θ 21.3, rel. 23, hkl 1 0 -2
1.711 Å, 2θ 53.6, rel. 23, hkl 3 1 3

```
data_RbCdBiO3
_chemical_formula_sum 'Rb2 Cd2 Bi2 O6'
_space_group_name_H-M_alt 'P 1 21/m 1'
_space_group_IT_number 11
_space_group_name_Hall '-P 2yb'
_cell_length_a 8.3005
_cell_length_b 3.6125
_cell_length_c 9.1380
_cell_angle_alpha 90.00
_cell_angle_beta 95.79
_cell_angle_gamma 90.00
loop_
_atom_site_label
_atom_site_fract_x
_atom_site_fract_y
_atom_site_fract_z
Rb1 0.1850 0.2500 0.1860
Cd1 0.4083 0.7500 0.8786
Bi1 0.1600 0.2500 0.6024
O1 0.0968 0.7500 0.4184
O2 0.1596 0.7500 0.7618
O3 0.4364 0.7500 0.1326
```


Entry 4:
The following is a theoretical PXRD pattern of Ba2Sr4Pt. It was derived from a structure optimized by DFT (PBE), using Cu Kα (weighted mean of Kα1 and Kα2).
Peak positions follow from Bragg's law for the DFT cell and can differ from measured ones.

Main lines, by intensity (2θ = 15–90°):
2.968 Å, 2θ 30.1, rel. 100, hkl 2 0 0
4.606 Å, 2θ 19.3, rel. 85, hkl 1 0 3
4.197 Å, 2θ 21.2, rel. 75, hkl 1 1 0
2.303 Å, 2θ 39.1, rel. 68, hkl 2 0 6
3.652 Å, 2θ 24.4, rel. 59, hkl 0 0 6
5.730 Å, 2θ 15.5, rel. 54, hkl 1 0 1
2.099 Å, 2θ 43.1, rel. 37, hkl 2 2 0
2.495 Å, 2θ 36.0, rel. 36, hkl 2 1 3
1.820 Å, 2θ 50.1, rel. 33, hkl 2 2 6
2.252 Å, 2θ 40.0, rel. 31, hkl 1 0 9

```
data_Ba2Sr4Pt
_chemical_formula_sum 'Ba4 Sr8 Pt2'
_space_group_name_H-M_alt 'I 4/m m m'
_space_group_IT_number 139
_space_group_name_Hall '-I 4 2'
_cell_length_a 5.9361
_cell_length_b 5.9361
_cell_length_c 21.9101
_cell_angle_alpha 90.00
_cell_angle_beta 90.00
_cell_angle_gamma 90.00
loop_
_atom_site_label
_atom_site_fract_x
_atom_site_fract_y
_atom_site_fract_z
Ba1 0.0000 0.0000 0.1757
Sr1 0.0000 0.0000 0.3662
Sr2 0.0000 0.5000 0.0000
Pt1 0.0000 0.0000 0.5000
```


Entry 5:
The following is a theoretical PXRD pattern of Pm2Dy7Y4. It was derived from a structure optimized by DFT (PBE), using Cu Kα (weighted mean of Kα1 and Kα2).
Peak positions follow from Bragg's law for the DFT cell and can differ from measured ones.

Main lines, by intensity (2θ = 15–90°):
2.770 Å, 2θ 32.3, rel. 100, hkl 1 1 2
2.969 Å, 2θ 30.1, rel. 57, hkl 1 1 1
2.511 Å, 2θ 35.8, rel. 47, hkl 2 -1 3
1.759 Å, 2θ 52.0, rel. 29, hkl 3 0 0
3.326 Å, 2θ 26.8, rel. 25, hkl 0 0 4
1.793 Å, 2θ 50.9, rel. 22, hkl 1 1 6
2.660 Å, 2θ 33.7, rel. 18, hkl 0 0 5
1.467 Å, 2θ 63.4, rel. 16, hkl 3 0 5
2.246 Å, 2θ 40.1, rel. 16, hkl 2 -1 4
1.484 Å, 2θ 62.6, rel. 16, hkl 4 -2 2

```
data_Pm2Dy7Y4
_chemical_formula_sum 'Pm2 Dy7 Y4'
_space_group_name_H-M_alt 'P -3 1 m'
_space_group_IT_number 162
_space_group_name_Hall '-P 3 2'
_cell_length_a 6.0923
_cell_length_b 6.0923
_cell_length_c 13.3022
_cell_angle_alpha 90.00
_cell_angle_beta 90.00
_cell_angle_gamma 120.00
loop_
_atom_site_label
_atom_site_fract_x
_atom_site_fract_y
_atom_site_fract_z
Pm1 0.3333 0.6667 0.0000
Dy1 0.0000 0.0000 0.0000
Dy2 0.0000 0.3569 0.7834
Y1 0.0000 0.0000 0.3942
Y2 0.3333 0.6667 0.5000
```


Entry 6:
The following is a theoretical PXRD pattern of CaAc2TbSe5. It was derived from a structure optimized by DFT (PBE), using Cu Kα (weighted mean of Kα1 and Kα2).
Peak positions follow from Bragg's law for the DFT cell and can differ from measured ones.

Main lines, by intensity (2θ = 15–90°):
3.680 Å, 2θ 24.2, rel. 100, hkl 1 1 0
2.602 Å, 2θ 34.5, rel. 84, hkl 2 0 0
2.988 Å, 2θ 29.9, rel. 62, hkl 1 0 3
3.771 Å, 2θ 23.6, rel. 46, hkl 1 0 2
3.054 Å, 2θ 29.2, rel. 42, hkl 1 1 2
1.886 Å, 2θ 48.3, rel. 40, hkl 2 0 4
1.962 Å, 2θ 46.3, rel. 38, hkl 2 1 3
1.840 Å, 2θ 49.5, rel. 30, hkl 2 2 0
2.736 Å, 2θ 32.7, rel. 30, hkl 0 0 4
2.591 Å, 2θ 34.6, rel. 28, hkl 1 1 3

```
data_CaAc2TbSe5
_chemical_formula_sum 'Ca1 Ac2 Tb1 Se5'
_space_group_name_H-M_alt 'P 4/m m m'
_space_group_IT_number 123
_space_group_name_Hall '-P 4 2'
_cell_length_a 5.2044
_cell_length_b 5.2044
_cell_length_c 10.9456
_cell_angle_alpha 90.00
_cell_angle_beta 90.00
_cell_angle_gamma 90.00
loop_
_atom_site_label
_atom_site_fract_x
_atom_site_fract_y
_atom_site_fract_z
Ca1 0.0000 0.0000 0.0000
Ac1 0.5000 0.5000 0.2922
Tb1 0.0000 0.0000 0.5000
Se1 0.0000 0.0000 0.2450
Se2 0.0000 0.5000 0.5000
Se3 0.5000 0.5000 0.0000
```


Entry 7:
The following is a theoretical PXRD pattern of Sm2Ho2Tl. It was derived from a structure optimized by DFT (PBE), using Cu Kα (weighted mean of Kα1 and Kα2).
Peak positions follow from Bragg's law for the DFT cell and can differ from measured ones.

Main lines, by intensity (2θ = 15–90°):
2.768 Å, 2θ 32.3, rel. 100, hkl 2 0 -3
2.897 Å, 2θ 30.9, rel. 97, hkl 1 3 -1
2.540 Å, 2θ 35.3, rel. 92, hkl 1 3 -2
2.808 Å, 2θ 31.9, rel. 90, hkl 1 1 2
2.699 Å, 2θ 33.2, rel. 78, hkl 3 1 -1
2.971 Å, 2θ 30.1, rel. 78, hkl 2 2 0
2.494 Å, 2θ 36.0, rel. 35, hkl 2 2 1
1.593 Å, 2θ 57.9, rel. 29, hkl 1 5 2
1.572 Å, 2θ 58.7, rel. 27, hkl 3 5 -1
1.857 Å, 2θ 49.1, rel. 25, hkl 4 2 -3

```
data_Sm2Ho2Tl
_chemical_formula_sum 'Sm8 Ho8 Tl4'
_space_group_name_H-M_alt 'C 1 2/m 1'
_space_group_IT_number 12
_space_group_name_Hall '-C 2y'
_cell_length_a 8.5150
_cell_length_b 9.4780
_cell_length_c 8.5637
_cell_angle_alpha 90.00
_cell_angle_beta 116.43
_cell_angle_gamma 90.00
loop_
_atom_site_label
_atom_site_fract_x
_atom_site_fract_y
_atom_site_fract_z
Sm1 0.1611 0.0000 0.4269
Sm2 0.2219 0.5000 0.1148
Ho1 0.0703 0.3165 0.7167
Tl1 0.0000 0.1690 0.0000
```


Entry 8:
The following is a theoretical PXRD pattern of PuThNp2P4. It was derived from a structure optimized by DFT (PBE), using Cu Kα (weighted mean of Kα1 and Kα2).
Peak positions follow from Bragg's law for the DFT cell and can differ from measured ones.

Main lines, by intensity (2θ = 15–90°):
2.843 Å, 2θ 31.5, rel. 100, hkl 1 1 1
3.287 Å, 2θ 27.1, rel. 83, hkl 0 0 2
2.014 Å, 2θ 45.0, rel. 38, hkl 0 2 0
2.007 Å, 2θ 45.2, rel. 37, hkl 3 1 -1
1.716 Å, 2θ 53.4, rel. 33, hkl 2 0 -4
3.273 Å, 2θ 27.2, rel. 27, hkl 2 0 0
1.643 Å, 2θ 56.0, rel. 20, hkl 2 2 -2
1.273 Å, 2θ 74.5, rel. 17, hkl 1 3 1
1.270 Å, 2θ 74.8, rel. 17, hkl 4 2 0
1.162 Å, 2θ 83.1, rel. 16, hkl 3 3 -1

```
data_PuThNp2P4
_chemical_formula_sum 'Pu1 Th1 Np2 P4'
_space_group_name_H-M_alt 'P 1 2/m 1'
_space_group_IT_number 10
_space_group_name_Hall '-P 2y'
_cell_length_a 6.9484
_cell_length_b 4.0288
_cell_length_c 6.9730
_cell_angle_alpha 90.00
_cell_angle_beta 109.61
_cell_angle_gamma 90.00
loop_
_atom_site_label
_atom_site_fract_x
_atom_site_fract_y
_atom_site_fract_z
Pu1 0.0000 0.0000 0.0000
Th1 0.5000 0.5000 0.0000
Np1 0.0000 0.5000 0.5000
Np2 0.5000 0.0000 0.5000
P1 0.2418 0.0000 0.7375
P2 0.2474 0.5000 0.2576
```


Entry 9:
The following is a theoretical PXRD pattern of Ac2Mg3Ge4Pd. It was derived from a structure optimized by DFT (PBE), using Cu Kα (weighted mean of Kα1 and Kα2).
Peak positions follow from Bragg's law for the DFT cell and can differ from measured ones.

Main lines, by intensity (2θ = 15–90°):
2.788 Å, 2θ 32.1, rel. 100, hkl 1 1 2
2.829 Å, 2θ 31.6, rel. 64, hkl 1 0 3
4.238 Å, 2θ 21.0, rel. 48, hkl 1 0 1
2.306 Å, 2θ 39.1, rel. 47, hkl 2 0 0
1.787 Å, 2θ 51.1, rel. 34, hkl 2 1 3
1.407 Å, 2θ 66.4, rel. 25, hkl 3 1 2
1.948 Å, 2θ 46.6, rel. 24, hkl 1 0 5
1.488 Å, 2θ 62.4, rel. 20, hkl 2 1 5
3.261 Å, 2θ 27.3, rel. 18, hkl 1 1 0
1.631 Å, 2θ 56.4, rel. 16, hkl 2 2 0

```
data_Ac2Mg3Ge4Pd
_chemical_formula_sum 'Ac2 Mg3 Ge4 Pd1'
_space_group_name_H-M_alt 'P -4 m 2'
_space_group_IT_number 115
_space_group_name_Hall 'P -4 -2'
_cell_length_a 4.6118
_cell_length_b 4.6118
_cell_length_c 10.7490
_cell_angle_alpha 90.00
_cell_angle_beta 90.00
_cell_angle_gamma 90.00
loop_
_atom_site_label
_atom_site_fract_x
_atom_site_fract_y
_atom_site_fract_z
Ac1 0.0000 0.5000 0.2463
Mg1 0.0000 0.0000 0.0000
Mg2 0.0000 0.5000 0.6273
Ge1 0.0000 0.0000 0.5000
Ge2 0.0000 0.5000 0.8708
Ge3 0.5000 0.5000 0.5000
Pd1 0.5000 0.5000 0.0000
```


Entry 10:
The following is a theoretical PXRD pattern of Nd3Sm2Sn3. It was derived from a structure optimized by DFT (PBE), using Cu Kα (weighted mean of Kα1 and Kα2).
Peak positions follow from Bragg's law for the DFT cell and can differ from measured ones.

Main lines, by intensity (2θ = 15–90°):
2.767 Å, 2θ 32.4, rel. 100, hkl 2 1 1
2.736 Å, 2θ 32.7, rel. 81, hkl 1 1 2
2.673 Å, 2θ 33.5, rel. 42, hkl 3 0 0
3.031 Å, 2θ 29.5, rel. 32, hkl 2 1 0
1.813 Å, 2θ 50.3, rel. 29, hkl 2 1 3
1.912 Å, 2θ 47.6, rel. 20, hkl 2 2 2
3.124 Å, 2θ 28.6, rel. 19, hkl 1 0 2
1.450 Å, 2θ 64.2, rel. 18, hkl 5 0 2
3.392 Å, 2θ 26.3, rel. 17, hkl 0 0 2
1.726 Å, 2θ 53.1, rel. 14, hkl 4 0 2

```
data_Nd3Sm2Sn3
_chemical_formula_sum 'Nd6 Sm4 Sn6'
_space_group_name_H-M_alt 'P 63/m c m'
_space_group_IT_number 193
_space_group_name_Hall '-P 6c 2'
_cell_length_a 9.2591
_cell_length_b 9.2591
_cell_length_c 6.7846
_cell_angle_alpha 90.00
_cell_angle_beta 90.00
_cell_angle_gamma 120.00
loop_
_atom_site_label
_atom_site_fract_x
_atom_site_fract_y
_atom_site_fract_z
Nd1 0.0000 0.2421 0.2500
Sm1 0.3333 0.6667 0.0000
Sn1 0.0000 0.3953 0.7500
```